1.
Starting from a PBE-relaxed structure, the powder diffraction line list of Er4Tm5Zn was simulated for Cu Kα (λ = 1.5418 Å).
Neutral-atom scattering factors, no anomalous dispersion.

Most intense lines, 2θ = 10–90°, sorted by position:
- d = 3.002 Å, 29.8 deg, rel. 16.3
- d = 2.803 Å, 31.9 deg, rel. 100.0
- d = 2.608 Å, 34.4 deg, rel. 15.7
- d = 2.470 Å, 36.4 deg, rel. 44.6
- d = 1.794 Å, 50.9 deg, rel. 15.2
- d = 1.747 Å, 52.4 deg, rel. 15.8
- d = 1.702 Å, 53.9 deg, rel. 10.7
- d = 1.512 Å, 61.3 deg, rel. 19.5
- d = 1.483 Å, 62.7 deg, rel. 29.1
- d = 1.143 Å, 84.8 deg, rel. 13.4

a = 3.4938 Å, b = 3.4938 Å, c = 23.4804 Å
α = 90.00°, β = 90.00°, γ = 90.00°
Fractional coordinates of all 10 atoms:
Er (0.0000, 0.0000, 0.1058)
Er (0.0000, 0.0000, 0.3169)
Er (0.0000, 0.0000, 0.6831)
Er (0.0000, 0.0000, 0.8942)
Tm (0.5000, 0.5000, 0.0000)
Tm (0.5000, 0.5000, 0.2121)
Tm (0.5000, 0.5000, 0.4250)
Tm (0.5000, 0.5000, 0.5750)
Tm (0.5000, 0.5000, 0.7879)
Zn (0.0000, 0.0000, 0.5000)

---

2.
Starting from a PBE-relaxed structure, the powder diffraction line list of LaTe2Au2 was simulated for Cu Kα (λ = 1.5418 Å).
Neutral-atom scattering factors, no anomalous dispersion.

Most intense lines, 2θ = 10–90°, sorted by position:
- d = 3.785 Å, 23.5 deg, rel. 31.6
- d = 2.961 Å, 30.2 deg, rel. 40.2
- d = 2.728 Å, 32.8 deg, rel. 82.3
- d = 2.676 Å, 33.5 deg, rel. 100.0
- d = 2.013 Å, 45.0 deg, rel. 32.8
- d = 1.910 Å, 47.6 deg, rel. 59.0
- d = 1.892 Å, 48.1 deg, rel. 36.4
- d = 1.462 Å, 63.6 deg, rel. 19.2
- d = 1.379 Å, 68.0 deg, rel. 19.4
- d = 1.344 Å, 70.0 deg, rel. 18.9

a = 6.0780 Å, b = 6.0780 Å, c = 6.0780 Å
α = 127.75°, β = 127.75°, γ = 77.03°
Fractional coordinates of all 5 atoms:
La (0.0000, 0.0000, 0.0000)
Te (0.2500, 0.7500, 0.5000)
Te (0.7500, 0.2500, 0.5000)
Au (0.3589, 0.3589, 0.0000)
Au (0.6411, 0.6411, 0.0000)

---

3.
Starting from a PBE-relaxed structure, the powder diffraction line list of Li5Ag4 was simulated for Cu Kα (λ = 1.5418 Å).
Neutral-atom scattering factors, no anomalous dispersion.

Most intense lines, 2θ = 10–90°, sorted by position:
- d = 6.119 Å, 14.5 deg, rel. 37.3
- d = 4.345 Å, 20.4 deg, rel. 35.1
- d = 4.308 Å, 20.6 deg, rel. 35.7
- d = 3.654 Å, 24.4 deg, rel. 65.8
- d = 3.628 Å, 24.5 deg, rel. 22.1
- d = 2.746 Å, 32.6 deg, rel. 20.7
- d = 2.727 Å, 32.8 deg, rel. 20.7
- d = 2.351 Å, 38.3 deg, rel. 100.0
- d = 2.324 Å, 38.7 deg, rel. 32.2
- d = 2.040 Å, 44.4 deg, rel. 43.0

a = 6.4246 Å, b = 6.4246 Å, c = 4.0225 Å
α = 107.75°, β = 107.75°, γ = 85.11°
Fractional coordinates of all 9 atoms:
Li (0.0000, 0.0000, 0.0000)
Li (0.3215, 0.3215, 0.3216)
Li (0.3211, 0.6789, 0.0000)
Li (0.6789, 0.3211, 0.0000)
Li (0.6785, 0.6785, 0.6784)
Ag (0.0008, 0.3346, 0.6690)
Ag (0.3346, 0.0008, 0.6690)
Ag (0.6654, 0.9992, 0.3310)
Ag (0.9992, 0.6654, 0.3310)

---

4.
Starting from a PBE-relaxed structure, the powder diffraction line list of Pm2PrHo5 was simulated for Cu Kα (λ = 1.5418 Å).
Neutral-atom scattering factors, no anomalous dispersion.

Most intense lines, 2θ = 10–90°, sorted by position:
- d = 2.922 Å, 30.6 deg, rel. 100.0
- d = 2.531 Å, 35.5 deg, rel. 50.6
- d = 1.790 Å, 51.0 deg, rel. 36.1
- d = 1.526 Å, 60.7 deg, rel. 35.8
- d = 1.525 Å, 60.7 deg, rel. 7.1
- d = 1.461 Å, 63.7 deg, rel. 12.4
- d = 1.161 Å, 83.2 deg, rel. 11.8
- d = 1.161 Å, 83.2 deg, rel. 5.9
- d = 1.132 Å, 85.8 deg, rel. 11.0
- d = 1.131 Å, 86.0 deg, rel. 5.5

a = 7.1601 Å, b = 14.3292 Å, c = 5.0556 Å
α = 90.00°, β = 90.00°, γ = 90.00°
Fractional coordinates of all 16 atoms:
Pm (0.2477, 0.1261, 0.0000)
Pm (0.2523, 0.6261, 0.0000)
Pm (0.7477, 0.3739, 0.0000)
Pm (0.7523, 0.8739, 0.0000)
Pr (0.0000, 0.5000, 0.5000)
Pr (0.5000, 0.0000, 0.5000)
Ho (0.0000, 0.0000, 0.5000)
Ho (0.0015, 0.7512, 0.5000)
Ho (0.2494, 0.3742, 0.0000)
Ho (0.2506, 0.8742, 0.0000)
Ho (0.4985, 0.2512, 0.5000)
Ho (0.5000, 0.5000, 0.5000)
Ho (0.5015, 0.7488, 0.5000)
Ho (0.7494, 0.1258, 0.0000)
Ho (0.7506, 0.6258, 0.0000)
Ho (0.9985, 0.2488, 0.5000)